The following is a simulated X-ray powder pattern of Sr2Ca6Au. It was derived from a cell relaxed with GGA-PBE, using CuKα.
No peak broadening, texture or thermal motion is included.

```
data_Sr2Ca6Au
_chemical_formula_sum 'Sr8 Ca24 Au4'
_space_group_name_H-M_alt 'F m -3 m'
_space_group_IT_number 225
_space_group_name_Hall '-F 4 2 3'
_cell_length_a 11.4736
_cell_length_b 11.4736
_cell_length_c 11.4736
_cell_angle_alpha 90.00
_cell_angle_beta 90.00
_cell_angle_gamma 90.00
loop_
_atom_site_label
_atom_site_fract_x
_atom_site_fract_y
_atom_site_fract_z
_atom_site_occupancy
Sr1 0.2500 0.2500 0.2500 1
Ca1 0.0000 0.0000 0.2442 1
Au1 0.0000 0.0000 0.5000 1
```

Top 8 peaks for 10 to 90 degrees two-theta, low angle first:
| d/Å | two_theta | I_rel | index |
| --- | --- | --- | --- |
| 6.624 | 13.4 | 835 | 1 1 1 |
| 4.057 | 21.9 | 989 | 2 2 0 |
| 3.459 | 25.8 | 652 | 3 1 1 |
| 2.868 | 31.2 | 1000 | 4 0 0 |
| 2.632 | 34.1 | 363 | 3 3 1 |
| 2.342 | 38.4 | 486 | 4 2 2 |
| 2.028 | 44.7 | 715 | 4 4 0 |
| 1.283 | 73.9 | 304 | 8 4 0 |